Record 1
Computed X-ray powder pattern
Compound: ThTlS
Radiation: CuKα
Structure: a GGA-PBE-relaxed structure
No peak broadening, texture or thermal motion is included.

Crystal structure
Cell lengths 4.1123, 4.1123, 9.0329 Å; angles 90.00, 90.00, 90.00 degrees
Space group P4/nmm (No. 129, origin choice 2)
Symmetry-distinct sites (fractional):
Th 0.2500 0.2500 0.1863 [2 per cell]
Tl 0.2500 0.7500 0.5000 [2 per cell]
S 0.2500 0.2500 0.8692 [2 per cell]

The 8 most intense peaks (5° ≤ 2θ ≤ 70°), in order of falling intensity:
2θ = 32.3°, I = 100.0, (1 1 1); 2θ = 36.8°, I = 95.1, (1 1 2); 2θ = 23.8°, I = 72.3, (1 0 1); 2θ = 29.7°, I = 61.5, (0 0 3); 2θ = 54.0°, I = 47.0, (2 0 3); 2θ = 44.0°, I = 46.8, (2 0 0); 2θ = 9.8°, I = 30.5, (0 0 1); 2θ = 60.3°, I = 27.1, (1 1 5)

=====

Record 2
Computed X-ray powder pattern
Compound: TmThS
Radiation: CuKα
Structure: a GGA-PBE-relaxed structure
No peak broadening, texture or thermal motion is included.

Crystal structure
Cell lengths 3.7654, 3.7654, 19.4307 Å; angles 90.00, 90.00, 120.00 degrees
Space group R3m (No. 160, hexagonal axes)
Symmetry-distinct sites (fractional):
Tm 0.0000 0.0000 0.0000 [3 per cell]
Th 0.0000 0.0000 0.4899 [3 per cell]
S 0.0000 0.0000 0.2526 [3 per cell]

The 8 most intense peaks (5° ≤ 2θ ≤ 70°), in order of falling intensity:
2θ = 28.9°, I = 100.0, (0 1 2); 2θ = 33.1°, I = 98.3, (1 0 4); 2θ = 27.5°, I = 36.5, (0 0 6); 2θ = 46.6°, I = 36.0, (0 1 8); 2θ = 48.3°, I = 34.9, (1 1 0); 2θ = 56.5°, I = 31.3, (1 1 6); 2θ = 59.8°, I = 18.2, (0 2 4); 2θ = 55.0°, I = 16.1, (1 0 10)

=====

Record 3
Computed X-ray powder pattern
Compound: ThU2S3
Radiation: CuKα
Structure: a GGA-PBE-relaxed structure
No peak broadening, texture or thermal motion is included.

Crystal structure
Cell lengths 3.8856, 5.5755, 11.9165 Å; angles 90.00, 90.00, 90.00 degrees
Space group Immm (No. 71)
Symmetry-distinct sites (fractional):
Th 0.0000 0.0000 0.0000 [2 per cell]
U 0.0000 0.0000 0.3362 [4 per cell]
S 0.0000 0.5000 0.0000 [2 per cell]
S 0.0000 0.5000 0.3256 [4 per cell]

The 8 most intense peaks (5° ≤ 2θ ≤ 70°), in order of falling intensity:
2θ = 32.2°, I = 100.0, (1 0 3); 2θ = 27.6°, I = 80.7, (0 1 3); 2θ = 28.0°, I = 77.8, (1 1 0); 2θ = 46.1°, I = 74.3, (1 2 3); 2θ = 32.1°, I = 50.7, (0 2 0); 2θ = 54.5°, I = 40.3, (1 1 6); 2θ = 55.1°, I = 26.0, (2 1 3); 2θ = 56.9°, I = 19.9, (0 2 6)